Computed PXRD pattern of Cs2NaH6Os for copper Kα, from a GGA-PBE-relaxed structure.
Peak positions follow from Bragg's law for the DFT cell and can differ from measured ones.

Crystal structure
```
data_Cs2NaH6Os
_cell_length_a 6.3153
_cell_length_b 6.3153
_cell_length_c 5.7152
_cell_angle_alpha 90.00
_cell_angle_beta 90.00
_cell_angle_gamma 120.00
_space_group_name_H-M_alt 'P -3 m 1'
_space_group_IT_number 164
_space_group_name_Hall '-P 3 2"'
loop_
_atom_site_label
_atom_site_fract_x
_atom_site_fract_y
_atom_site_fract_z
Cs1 0.3333 0.6667 0.2953
Na1 0.0000 0.0000 0.0000
H1 0.1302 0.2604 0.6759
Os1 0.0000 0.0000 0.5000
```

Principal peaks in the range 2θ from 5° to 70°, most intense first:
| hkl | Position (°2θ) | intensity |
| --- | --- | --- |
| 1 1 0 | 28.26 | 100 |
| 1 0 1 | 22.50 | 100 |
| 1 0 2 | 35.44 | 58 |
| 0 0 1 | 15.50 | 36 |
| 1 1 1 | 32.39 | 35 |
| 2 1 2 | 54.81 | 33 |
| 0 2 1 | 36.42 | 30 |
| 0 2 2 | 45.93 | 29 |
| 2 1 1 | 46.73 | 28 |
| 3 0 0 | 50.03 | 20 |



Computed PXRD pattern of Cs3NaH8Pd2 for copper Kα, from a GGA-PBE-relaxed structure.
Peak positions follow from Bragg's law for the DFT cell and can differ from measured ones.

Crystal structure
```
data_Cs3NaH8Pd2
_cell_length_a 6.5115
_cell_length_b 6.5115
_cell_length_c 7.8924
_cell_angle_alpha 90.00
_cell_angle_beta 90.00
_cell_angle_gamma 120.00
_space_group_name_H-M_alt 'P -3 m 1'
_space_group_IT_number 164
_space_group_name_Hall '-P 3 2"'
loop_
_atom_site_label
_atom_site_fract_x
_atom_site_fract_y
_atom_site_fract_z
Cs1 0.0000 0.0000 0.0000
Cs2 0.3333 0.6667 0.6895
Na1 0.0000 0.0000 0.5000
H1 0.1778 0.3555 0.3016
H2 0.3333 0.6667 0.1186
Pd1 0.3333 0.6667 0.3107
```

Principal peaks in the range 2θ from 5° to 70°, most intense first:
| hkl | Position (°2θ) | intensity |
| --- | --- | --- |
| 1 1 0 | 27.39 | 100 |
| 0 1 2 | 27.59 | 53 |
| 1 0 1 | 19.35 | 44 |
| 1 1 3 | 44.26 | 38 |
| 1 2 2 | 48.55 | 22 |
| 2 0 2 | 39.27 | 21 |
| 3 0 0 | 48.43 | 20 |
| 0 3 3 | 60.54 | 15 |
| 0 0 3 | 34.08 | 14 |
| 2 2 0 | 56.53 | 13 |



Computed PXRD pattern of Cs2Na2H4Pt for copper Kα, from a GGA-PBE-relaxed structure.
Peak positions follow from Bragg's law for the DFT cell and can differ from measured ones.

Crystal structure
```
data_Cs2Na2H4Pt
_cell_length_a 7.346
_cell_length_b 7.346
_cell_length_c 8.460
_cell_angle_alpha 90.00
_cell_angle_beta 90.00
_cell_angle_gamma 90.00
_space_group_name_H-M_alt 'I 4/m m m'
_space_group_IT_number 139
_space_group_name_Hall '-I 4 2'
loop_
_atom_site_label
_atom_site_fract_x
_atom_site_fract_y
_atom_site_fract_z
Cs1 0.000 0.500 0.250
Na1 0.000 0.000 0.177
H1 0.161 0.161 0.500
Pt1 0.000 0.000 0.500
```

Principal peaks in the range 2θ from 5° to 70°, most intense first:
| hkl | Position (°2θ) | intensity |
| --- | --- | --- |
| 1 1 2 | 27.19 | 100 |
| 2 0 0 | 24.23 | 92 |
| 1 0 1 | 15.98 | 58 |
| 3 1 2 | 44.50 | 52 |
| 2 2 0 | 34.53 | 37 |
| 4 2 0 | 56.02 | 33 |
| 2 1 1 | 29.16 | 26 |
| 2 0 4 | 49.75 | 20 |
| 2 1 3 | 42.24 | 20 |
| 1 0 3 | 34.06 | 18 |



Computed PXRD pattern of Cs2NaH6Rh for copper Kα, from a GGA-PBE-relaxed structure.
Peak positions follow from Bragg's law for the DFT cell and can differ from measured ones.

Crystal structure
```
data_Cs2NaH6Rh
_cell_length_a 6.3093
_cell_length_b 6.3093
_cell_length_c 5.5733
_cell_angle_alpha 90.00
_cell_angle_beta 90.00
_cell_angle_gamma 120.00
_space_group_name_H-M_alt 'P -3 m 1'
_space_group_IT_number 164
_space_group_name_Hall '-P 3 2"'
loop_
_atom_site_label
_atom_site_fract_x
_atom_site_fract_y
_atom_site_fract_z
Cs1 0.3333 0.6667 0.2113
Na1 0.0000 0.0000 0.5000
H1 0.1279 0.2559 0.8294
Rh1 0.0000 0.0000 0.0000
```

Principal peaks in the range 2θ from 5° to 70°, most intense first:
| hkl | Position (°2θ) | intensity |
| --- | --- | --- |
| 0 1 1 | 22.79 | 100 |
| 1 1 0 | 28.29 | 88 |
| 0 1 2 | 36.18 | 42 |
| 2 0 1 | 36.63 | 30 |
| 1 2 1 | 46.92 | 28 |
| 1 2 2 | 55.37 | 25 |
| 2 0 2 | 46.55 | 21 |
| 0 0 1 | 15.90 | 18 |
| 3 0 0 | 50.08 | 18 |
| 1 1 1 | 32.62 | 16 |



Computed PXRD pattern of CsNbReTeH for copper Kα, from a GGA-PBE-relaxed structure.
Peak positions follow from Bragg's law for the DFT cell and can differ from measured ones.

Crystal structure
```
data_CsNbReTeH
_cell_length_a 4.144
_cell_length_b 3.374
_cell_length_c 16.683
_cell_angle_alpha 90.00
_cell_angle_beta 90.00
_cell_angle_gamma 90.00
_space_group_name_H-M_alt 'A m m 2'
_space_group_IT_number 38
loop_
_space_group_symop_operation_xyz
'x,y,z'
'-x,-y,z'
'-x,y,z'
'x,-y,z'
'x,y+1/2,z+1/2'
'-x,-y+1/2,z+1/2'
'-x,y+1/2,z+1/2'
'x,-y+1/2,z+1/2'
loop_
_atom_site_label
_atom_site_fract_x
_atom_site_fract_y
_atom_site_fract_z
Cs1 0.000 0.000 0.000
Nb1 0.000 0.000 0.786
Re1 0.500 0.000 0.311
Te1 0.500 0.000 0.669
H1 0.500 0.000 0.413
```

Principal peaks in the range 2θ from 5° to 70°, most intense first:
| hkl | Position (°2θ) | intensity |
| --- | --- | --- |
| 0 0 2 | 10.61 | 100 |
| 1 1 5 | 43.98 | 99 |
| 1 1 1 | 34.70 | 93 |
| 0 1 3 | 31.00 | 78 |
| 1 0 2 | 23.98 | 67 |
| 1 1 3 | 38.00 | 49 |
| 0 0 6 | 32.19 | 47 |
| 1 0 4 | 30.41 | 36 |
| 2 0 0 | 43.68 | 33 |
| 2 1 3 | 54.53 | 32 |



Computed PXRD pattern of CsNbReTeH for copper Kα, from a GGA-PBE-relaxed structure.
Peak positions follow from Bragg's law for the DFT cell and can differ from measured ones.

Crystal structure
```
data_CsNbReTeH
_cell_length_a 3.508
_cell_length_b 3.508
_cell_length_c 8.875
_cell_angle_alpha 90.00
_cell_angle_beta 90.00
_cell_angle_gamma 90.00
_space_group_name_H-M_alt 'P 4 m m'
_space_group_IT_number 99
loop_
_space_group_symop_operation_xyz
'x,y,z'
'-y,x,z'
'-x,-y,z'
'y,-x,z'
'-x,y,z'
'y,x,z'
'x,-y,z'
'-y,-x,z'
loop_
_atom_site_label
_atom_site_fract_x
_atom_site_fract_y
_atom_site_fract_z
Cs1 0.000 0.000 0.000
Nb1 0.000 0.000 0.467
Re1 0.500 0.500 0.339
Te1 0.500 0.500 0.660
H1 0.500 0.500 0.146
```

Principal peaks in the range 2θ from 5° to 70°, most intense first:
| hkl | Position (°2θ) | intensity |
| --- | --- | --- |
| 1 0 2 | 32.54 | 100 |
| 1 1 0 | 36.21 | 87 |
| 0 0 1 | 9.97 | 68 |
| 1 0 1 | 27.34 | 52 |
| 1 0 4 | 48.55 | 44 |
| 0 0 6 | 62.83 | 36 |
| 1 1 3 | 47.86 | 36 |
| 0 0 3 | 30.21 | 32 |
| 1 0 3 | 39.86 | 31 |
| 2 0 0 | 52.15 | 30 |



Computed PXRD pattern of CsNbH2RhS for copper Kα, from a GGA-PBE-relaxed structure.
Peak positions follow from Bragg's law for the DFT cell and can differ from measured ones.

Crystal structure
```
data_CsNbH2RhS
_cell_length_a 3.269
_cell_length_b 4.396
_cell_length_c 7.316
_cell_angle_alpha 90.00
_cell_angle_beta 90.00
_cell_angle_gamma 90.00
_space_group_name_H-M_alt 'P m m 2'
_space_group_IT_number 25
loop_
_space_group_symop_operation_xyz
'x,y,z'
'-x,-y,z'
'-x,y,z'
'x,-y,z'
loop_
_atom_site_label
_atom_site_fract_x
_atom_site_fract_y
_atom_site_fract_z
Cs1 0.000 0.000 0.000
Nb1 0.000 0.500 0.442
H1 0.000 0.000 0.441
H2 0.500 0.500 0.267
Rh1 0.500 0.000 0.542
S1 0.500 0.500 0.697
```

Principal peaks in the range 2θ from 5° to 70°, most intense first:
| hkl | Position (°2θ) | intensity |
| --- | --- | --- |
| 1 1 1 | 36.38 | 100 |
| 0 0 2 | 24.33 | 53 |
| 0 1 2 | 31.83 | 31 |
| 1 1 3 | 51.14 | 29 |
| 1 0 1 | 29.94 | 28 |
| 0 1 1 | 23.61 | 27 |
| 0 0 1 | 12.10 | 26 |
| 0 2 0 | 41.07 | 24 |
| 2 0 0 | 56.32 | 20 |
| 1 0 2 | 36.87 | 19 |



Computed PXRD pattern of CsNbH2RhS for copper Kα, from a GGA-PBE-relaxed structure.
Peak positions follow from Bragg's law for the DFT cell and can differ from measured ones.

Crystal structure
```
data_CsNbH2RhS
_cell_length_a 3.505
_cell_length_b 4.117
_cell_length_c 7.699
_cell_angle_alpha 89.86
_cell_angle_beta 76.84
_cell_angle_gamma 90.00
_space_group_name_H-M_alt 'P 1'
_space_group_IT_number 1
loop_
_space_group_symop_operation_xyz
'x,y,z'
loop_
_atom_site_label
_atom_site_fract_x
_atom_site_fract_y
_atom_site_fract_z
Cs1 0.000 0.000 0.000
Nb1 0.274 0.526 0.452
H1 0.399 0.523 0.203
H2 0.825 0.277 0.352
Rh1 0.741 0.990 0.522
S1 0.651 0.499 0.697
```

Principal peaks in the range 2θ from 5° to 70°, most intense first:
| hkl | Position (°2θ) | intensity |
| --- | --- | --- |
| 1 1 0 | 34.12 | 100 |
| 0 0 2 | 23.74 | 94 |
| 1 1 2 | 38.23 | 60 |
| 1 0 2 | 31.17 | 59 |
| -1 1 2 | 45.49 | 53 |
| 0 0 1 | 11.81 | 41 |
| 0 1 -2 | 32.30 | 39 |
| 0 1 1 | 24.67 | 36 |
| 1 -2 2 | 54.91 | 34 |
| 0 2 0 | 43.99 | 29 |



Computed PXRD pattern of CsNbH2RhS for copper Kα, from a GGA-PBE-relaxed structure.
Peak positions follow from Bragg's law for the DFT cell and can differ from measured ones.

Crystal structure
```
data_CsNbH2RhS
_cell_length_a 14.649
_cell_length_b 3.604
_cell_length_c 4.160
_cell_angle_alpha 90.00
_cell_angle_beta 91.26
_cell_angle_gamma 90.00
_space_group_name_H-M_alt 'C 1 m 1'
_space_group_IT_number 8
loop_
_space_group_symop_operation_xyz
'x,y,z'
'x,-y,z'
'x+1/2,y+1/2,z'
'x+1/2,-y+1/2,z'
loop_
_atom_site_label
_atom_site_fract_x
_atom_site_fract_y
_atom_site_fract_z
Cs1 0.000 0.000 0.000
Nb1 0.275 0.000 0.471
H1 0.290 0.000 0.964
H2 0.402 0.000 0.506
Rh1 0.248 0.500 0.025
S1 0.157 0.500 0.517
```

Principal peaks in the range 2θ from 5° to 70°, most intense first:
| hkl | Position (°2θ) | intensity |
| --- | --- | --- |
| 4 0 0 | 24.32 | 100 |
| 1 1 -1 | 33.37 | 50 |
| 3 1 0 | 30.84 | 49 |
| 1 1 1 | 33.55 | 47 |
| 2 0 0 | 12.09 | 37 |
| 5 1 1 | 45.82 | 31 |
| 5 1 -1 | 45.13 | 27 |
| 0 0 2 | 43.52 | 26 |
| 3 1 1 | 38.06 | 26 |
| 3 1 -1 | 37.58 | 25 |



Computed PXRD pattern of CsNbH2RhS for copper Kα, from a GGA-PBE-relaxed structure.
Peak positions follow from Bragg's law for the DFT cell and can differ from measured ones.

Crystal structure
```
data_CsNbH2RhS
_cell_length_a 4.135
_cell_length_b 3.428
_cell_length_c 14.955
_cell_angle_alpha 90.00
_cell_angle_beta 90.00
_cell_angle_gamma 90.00
_space_group_name_H-M_alt 'A m m 2'
_space_group_IT_number 38
loop_
_space_group_symop_operation_xyz
'x,y,z'
'-x,-y,z'
'-x,y,z'
'x,-y,z'
'x,y+1/2,z+1/2'
'-x,-y+1/2,z+1/2'
'-x,y+1/2,z+1/2'
'x,-y+1/2,z+1/2'
loop_
_atom_site_label
_atom_site_fract_x
_atom_site_fract_y
_atom_site_fract_z
Cs1 0.000 0.000 0.000
Nb1 0.500 0.000 0.284
H1 0.500 0.000 0.408
H2 0.500 0.000 0.844
Rh1 0.000 0.000 0.730
S1 0.500 0.000 0.658
```

Principal peaks in the range 2θ from 5° to 70°, most intense first:
| hkl | Position (°2θ) | intensity |
| --- | --- | --- |
| 1 1 1 | 34.51 | 100 |
| 0 0 4 | 23.80 | 83 |
| 0 1 3 | 31.68 | 79 |
| 1 1 3 | 38.60 | 53 |
| 1 0 4 | 32.28 | 50 |
| 1 1 5 | 45.85 | 43 |
| 1 0 2 | 24.60 | 41 |
| 0 0 2 | 11.84 | 38 |
| 2 1 3 | 55.04 | 33 |
| 2 0 0 | 43.78 | 32 |



Computed PXRD pattern of CsNi2H for copper Kα, from a GGA-PBE-relaxed structure.
Peak positions follow from Bragg's law for the DFT cell and can differ from measured ones.

Crystal structure
```
data_CsNi2H
_cell_length_a 6.363
_cell_length_b 6.363
_cell_length_c 6.363
_cell_angle_alpha 90.00
_cell_angle_beta 90.00
_cell_angle_gamma 90.00
_space_group_name_H-M_alt 'F m -3 m'
_space_group_IT_number 225
_space_group_name_Hall '-F 4 2 3'
loop_
_atom_site_label
_atom_site_fract_x
_atom_site_fract_y
_atom_site_fract_z
Cs1 0.000 0.000 0.000
Ni1 0.250 0.250 0.250
H1 0.000 0.000 0.500
```

Principal peaks in the range 2θ from 5° to 70°, most intense first:
| hkl | Position (°2θ) | intensity |
| --- | --- | --- |
| 2 2 0 | 40.08 | 100 |
| 1 1 1 | 24.23 | 61 |
| 3 1 1 | 47.39 | 30 |
| 4 0 0 | 57.98 | 16 |
| 3 3 1 | 63.76 | 12 |



Computed PXRD pattern of Cs3NiH4 for copper Kα, from a GGA-PBE-relaxed structure.
Peak positions follow from Bragg's law for the DFT cell and can differ from measured ones.

Crystal structure
```
data_Cs3NiH4
_cell_length_a 6.422
_cell_length_b 9.490
_cell_length_c 6.307
_cell_angle_alpha 90.00
_cell_angle_beta 90.00
_cell_angle_gamma 90.00
_space_group_name_H-M_alt 'I m m 2'
_space_group_IT_number 44
loop_
_space_group_symop_operation_xyz
'x,y,z'
'-x,-y,z'
'-x,y,z'
'x,-y,z'
'x+1/2,y+1/2,z+1/2'
'-x+1/2,-y+1/2,z+1/2'
'-x+1/2,y+1/2,z+1/2'
'x+1/2,-y+1/2,z+1/2'
loop_
_atom_site_label
_atom_site_fract_x
_atom_site_fract_y
_atom_site_fract_z
Cs1 0.000 0.000 0.000
Cs2 0.000 0.250 0.496
Ni1 0.000 0.500 0.053
H1 0.000 0.334 0.008
H2 0.239 0.500 0.114
```

Principal peaks in the range 2θ from 5° to 70°, most intense first:
| hkl | Position (°2θ) | intensity |
| --- | --- | --- |
| 1 2 1 | 27.32 | 100 |
| 2 0 0 | 27.78 | 24 |
| 0 0 2 | 28.30 | 22 |
| 3 2 1 | 48.86 | 20 |
| 2 0 2 | 40.08 | 17 |
| 1 2 3 | 49.50 | 17 |
| 2 4 2 | 56.36 | 12 |
| 4 0 2 | 65.23 | 11 |
| 2 4 0 | 47.66 | 11 |
| 0 4 0 | 37.93 | 11 |



Computed PXRD pattern of CsRbNiH6 for copper Kα, from a GGA-PBE-relaxed structure.
Peak positions follow from Bragg's law for the DFT cell and can differ from measured ones.

Crystal structure
```
data_CsRbNiH6
_cell_length_a 5.473
_cell_length_b 5.756
_cell_length_c 5.764
_cell_angle_alpha 60.09
_cell_angle_beta 89.70
_cell_angle_gamma 89.89
_space_group_name_H-M_alt 'P 1'
_space_group_IT_number 1
loop_
_space_group_symop_operation_xyz
'x,y,z'
loop_
_atom_site_label
_atom_site_fract_x
_atom_site_fract_y
_atom_site_fract_z
Cs1 0.000 0.000 0.000
Rb1 0.529 0.667 0.665
Ni1 0.323 0.334 0.332
H1 0.161 0.457 0.456
H2 0.162 0.087 0.456
H3 0.162 0.456 0.087
H4 0.482 0.210 0.581
H5 0.482 0.584 0.207
H6 0.483 0.209 0.207
```

Principal peaks in the range 2θ from 5° to 70°, most intense first:
| hkl | Position (°2θ) | intensity |
| --- | --- | --- |
| 1 1 1 | 24.11 | 100 |
| 0 2 1 | 31.04 | 74 |
| 1 0 -1 | 24.18 | 50 |
| -1 2 2 | 39.75 | 27 |
| 1 1 -2 | 51.27 | 24 |
| -2 1 1 | 37.53 | 18 |
| 1 0 2 | 39.60 | 14 |
| 2 0 1 | 37.41 | 13 |
| 1 -2 1 | 51.14 | 12 |
| 0 1 1 | 17.77 | 10 |



Computed PXRD pattern of CsZnNiH6 for copper Kα, from a GGA-PBE-relaxed structure.
Peak positions follow from Bragg's law for the DFT cell and can differ from measured ones.

Crystal structure
```
data_CsZnNiH6
_cell_length_a 4.5671
_cell_length_b 4.5671
_cell_length_c 6.2384
_cell_angle_alpha 90.00
_cell_angle_beta 90.00
_cell_angle_gamma 120.00
_space_group_name_H-M_alt 'P 3 1 2'
_space_group_IT_number 149
loop_
_space_group_symop_operation_xyz
'x,y,z'
'-y,x-y,z'
'-x+y,-x,z'
'-y,-x,-z'
'-x+y,y,-z'
'x,x-y,-z'
loop_
_atom_site_label
_atom_site_fract_x
_atom_site_fract_y
_atom_site_fract_z
Cs1 0.0000 0.0000 0.0000
Zn1 0.3333 0.6667 0.5000
Ni1 0.6667 0.3333 0.5000
H1 0.4576 0.0344 0.6642
```

Principal peaks in the range 2θ from 5° to 70°, most intense first:
| hkl | Position (°2θ) | intensity |
| --- | --- | --- |
| 1 0 1 | 26.69 | 100 |
| 2 -1 2 | 49.49 | 49 |
| 1 1 0 | 39.46 | 30 |
| 0 0 2 | 28.62 | 24 |
| 2 0 1 | 48.28 | 18 |
| 3 -1 1 | 64.05 | 16 |
| 2 0 3 | 65.09 | 8 |
| 1 0 0 | 22.48 | 6 |
| 1 0 2 | 36.69 | 4 |
| 0 0 4 | 59.25 | 3 |